[1]
The following is a calculated powder XRD pattern of SiP2. It was derived from a DFT-relaxed cell (PBE, Alexandria), using CuKα.
Kinematic intensities with the Lorentz-polarization factor, no thermal factor.

Top 8 peaks for 10° ≤ 2θ ≤ 90°, in order of rising 2θ:
| d (Å) | I/Imax |
| --- | --- |
| 7.811 | 90 |
| 6.217 | 39 |
| 3.652 | 47 |
| 2.862 | 20 |
| 2.818 | 100 |
| 1.917 | 32 |
| 1.721 | 29 |
| 1.700 | 23 |

Crystal structure
```
SiP2
1.0
10.2686 0.0000 0.0000
0.0000 15.6221 0.0000
0.0000 0.0000 3.4518
Si P
8 16
Cartesian
0.9072 2.5822 0.0000 Si
2.0087 12.0022 1.7259 Si
3.1256 4.1911 1.7259 Si
4.2271 10.3933 0.0000 Si
6.0415 5.2288 0.0000 Si
7.1430 11.4310 1.7259 Si
8.2599 3.6199 1.7259 Si
9.3613 13.0399 0.0000 Si
0.4177 13.6310 1.7259 P
1.2956 9.7783 1.7259 P
1.7468 4.6908 0.0000 P
2.4860 8.9157 0.0000 P
2.6483 1.1046 0.0000 P
3.3874 12.5018 0.0000 P
3.8387 1.9673 1.7259 P
4.7166 5.8200 1.7259 P
5.5520 9.8021 1.7259 P
6.4299 13.6548 1.7259 P
6.8811 3.1203 0.0000 P
7.6203 14.5175 0.0000 P
7.7826 6.7064 0.0000 P
8.5217 10.9313 0.0000 P
8.9730 5.8438 1.7259 P
9.8508 1.9911 1.7259 P
```

=====

[2]
The following is a calculated powder XRD pattern of Na8B13C3. It was derived from a DFT-relaxed cell (PBE, Alexandria), using CuKα.
Kinematic intensities with the Lorentz-polarization factor, no thermal factor.

Top 8 peaks for 10° ≤ 2θ ≤ 90°, in order of rising 2θ:
| d (Å) | I/Imax |
| --- | --- |
| 2.629 | 12 |
| 2.510 | 18 |
| 2.244 | 53 |
| 2.169 | 100 |
| 2.155 | 37 |
| 1.635 | 10 |
| 1.494 | 18 |
| 1.205 | 11 |

Crystal structure
```
Na8B13C3
1.0
9.0157 -1.4282 0.0000
9.0157 1.4282 0.0000
-3.0823 0.0000 10.0528
Na B C
8 13 3
Cartesian
0.0000 0.0000 0.0000 Na
-1.5322 0.0000 5.0293 Na
4.0907 0.0000 1.2413 Na
2.5775 0.0000 6.2794 Na
6.6812 0.0000 7.5181 Na
8.2741 0.0000 2.5172 Na
12.3033 0.0000 3.7443 Na
10.8355 0.0000 8.7952 Na
1.0019 0.0000 4.0390 B
-0.0027 0.0000 7.3133 B
1.5386 0.0000 2.3051 B
6.6732 0.0000 0.2144 B
5.1982 0.0000 5.0614 B
4.1073 0.0000 8.6277 B
9.7228 0.0000 5.0006 B
8.3025 0.0000 9.6428 B
10.8466 0.0000 1.3629 B
15.3990 0.0000 1.1524 B
13.9188 0.0000 6.0278 B
14.9045 0.0000 2.8271 B
13.4250 0.0000 7.6528 B
-0.4913 0.0000 8.9139 C
5.6729 0.0000 3.5543 C
9.2398 0.0000 6.5633 C
```

=====

[3]
The following is a calculated powder XRD pattern of Ac2Mg5Pb3. It was derived from a DFT-relaxed cell (PBE, Alexandria), using CuKα.
Kinematic intensities with the Lorentz-polarization factor, no thermal factor.

Top 8 peaks for 10° ≤ 2θ ≤ 90°, in order of rising 2θ:
| d (Å) | I/Imax |
| --- | --- |
| 3.891 | 37 |
| 3.353 | 31 |
| 3.279 | 46 |
| 3.008 | 100 |
| 2.371 | 45 |
| 2.361 | 49 |
| 1.800 | 25 |
| 1.673 | 35 |

Crystal structure
```
Ac2Mg5Pb3
1.0
4.7414 0.0000 0.0000
0.0000 4.7414 0.0000
0.0000 0.0000 13.6152
Ac Mg Pb
2 5 3
Cartesian
0.0000 2.3707 3.2991 Ac
2.3707 0.0000 10.3161 Ac
0.0000 0.0000 0.0000 Mg
0.0000 0.0000 6.8076 Mg
0.0000 2.3707 11.8437 Mg
2.3707 0.0000 1.7715 Mg
2.3707 2.3707 0.0000 Mg
0.0000 2.3707 8.9929 Pb
2.3707 0.0000 4.6224 Pb
2.3707 2.3707 6.8076 Pb
```

=====

[4]
The following is a calculated powder XRD pattern of La5Sm4Ho2. It was derived from a DFT-relaxed cell (PBE, Alexandria), using CuKα.
Kinematic intensities with the Lorentz-polarization factor, no thermal factor.

Top 8 peaks for 10° ≤ 2θ ≤ 90°, in order of rising 2θ:
| d (Å) | I/Imax |
| --- | --- |
| 3.043 | 26 |
| 3.007 | 24 |
| 2.957 | 89 |
| 2.863 | 100 |
| 2.773 | 36 |
| 2.694 | 17 |
| 1.689 | 20 |
| 1.522 | 35 |

Crystal structure
```
La5Sm4Ho2
1.0
9.0220 -1.7968 0.0000
9.0220 1.7968 0.0000
-0.8102 0.0000 11.7973
La Sm Ho
5 4 2
Cartesian
0.0000 0.0000 0.0000 La
5.0631 0.0000 10.9022 La
6.9209 0.0000 5.4613 La
10.3129 0.0000 6.3360 La
12.1707 0.0000 0.8951 La
1.9048 0.0000 9.4118 Sm
7.7369 0.0000 8.6878 Sm
9.4970 0.0000 3.1095 Sm
15.3290 0.0000 2.3855 Sm
3.6092 0.0000 4.2172 Ho
13.6246 0.0000 7.5801 Ho
```

=====

[5]
The following is a calculated powder XRD pattern of La5Sn2Pt. It was derived from a DFT-relaxed cell (PBE, Alexandria), using CuKα.
Kinematic intensities with the Lorentz-polarization factor, no thermal factor.

Top 8 peaks for 10° ≤ 2θ ≤ 90°, in order of rising 2θ:
| d (Å) | I/Imax |
| --- | --- |
| 3.500 | 27 |
| 3.055 | 87 |
| 3.015 | 47 |
| 2.994 | 54 |
| 2.828 | 100 |
| 2.687 | 42 |
| 2.410 | 56 |
| 1.915 | 29 |

Crystal structure
```
La5Sn2Pt
1.0
8.2942 0.0000 0.0000
0.0000 12.9445 0.0000
0.0000 0.0000 4.8190
La Sn Pt
10 4 2
Cartesian
0.0000 0.0000 0.0000 La
1.2172 3.7586 0.0000 La
1.5356 7.3098 2.4095 La
2.6115 0.8376 2.4095 La
2.9299 10.2308 0.0000 La
4.1471 6.4722 0.0000 La
5.3643 2.7136 0.0000 La
5.6827 12.1069 2.4095 La
6.7586 5.6347 2.4095 La
7.0770 9.1859 0.0000 La
0.6130 10.7429 2.4095 Sn
3.5341 4.2706 2.4095 Sn
4.7601 8.6739 2.4095 Sn
7.6812 2.2016 2.4095 Sn
0.0000 6.4722 0.0000 Pt
4.1471 0.0000 0.0000 Pt
```

=====

[6]
The following is a calculated powder XRD pattern of Ac2Cd3In4. It was derived from a DFT-relaxed cell (PBE, Alexandria), using CuKα.
Kinematic intensities with the Lorentz-polarization factor, no thermal factor.

Top 8 peaks for 10° ≤ 2θ ≤ 90°, in order of rising 2θ:
| d (Å) | I/Imax |
| --- | --- |
| 3.103 | 55 |
| 2.909 | 58 |
| 2.893 | 100 |
| 2.804 | 58 |
| 2.739 | 31 |
| 2.648 | 92 |
| 2.620 | 31 |
| 1.750 | 26 |

Crystal structure
```
Ac2Cd3In4
1.0
3.2952 -8.6365 0.0000
3.2952 8.6365 0.0000
0.0000 0.0000 8.8945
Ac Cd In
4 6 8
Cartesian
3.2952 6.7483 8.0661 Ac
3.2952 1.8883 3.6188 Ac
3.2952 -1.8883 5.2757 Ac
3.2952 -6.7483 0.8284 Ac
0.0000 0.0000 4.4473 Cd
1.6476 3.9466 6.6709 Cd
1.6476 -3.9466 2.2236 Cd
3.2952 0.0000 0.0000 Cd
4.9428 3.9466 6.6709 Cd
4.9428 -3.9466 2.2236 Cd
3.2952 5.5889 4.6300 In
1.6476 1.0169 6.6709 In
1.6476 -1.0169 2.2236 In
3.2952 3.0477 0.1827 In
3.2952 -3.0477 8.7118 In
4.9428 1.0169 6.6709 In
4.9428 -1.0169 2.2236 In
3.2952 -5.5889 4.2646 In
```

=====

[7]
The following is a calculated powder XRD pattern of Tb5NdEr2. It was derived from a DFT-relaxed cell (PBE, Alexandria), using CuKα.
Kinematic intensities with the Lorentz-polarization factor, no thermal factor.

Top 8 peaks for 10° ≤ 2θ ≤ 90°, in order of rising 2θ:
| d (Å) | I/Imax |
| --- | --- |
| 2.907 | 100 |
| 2.518 | 51 |
| 1.780 | 36 |
| 1.518 | 39 |
| 1.454 | 9 |
| 1.155 | 15 |
| 1.126 | 10 |
| 1.125 | 7 |

Crystal structure
```
Tb5NdEr2
1.0
6.1617 0.0000 0.0000
3.0742 8.9030 0.0000
1.0191 1.0709 9.3081
Tb Nd Er
10 2 4
Cartesian
2.0468 1.0722 2.0314 Tb
4.0978 6.0616 6.7003 Tb
3.0727 3.5652 4.3543 Tb
5.1228 9.2537 5.5180 Tb
4.1019 6.7613 3.2027 Tb
6.1531 3.2125 6.1055 Tb
5.1323 0.7202 3.7901 Tb
7.1823 6.4087 4.9538 Tb
6.1573 3.9123 2.6079 Tb
8.2083 8.9016 7.2767 Tb
3.0715 2.8517 7.8554 Nd
7.1835 7.1221 1.4527 Nd
3.0833 4.2753 0.8680 Er
5.1230 8.5354 9.0112 Er
5.1320 1.4385 0.2969 Er
7.1718 5.6986 8.4401 Er
```